Starting from a crystal structure in Alexandria, relaxed with GGA-PBE, the X-ray diffraction stick pattern of BaNa2Tl6 was computed for Cu Kα (weighted mean of Kα1 and Kα2).
Lines closer than 0.1° are merged.

Structure:
```
data_BaNa2Tl6
_symmetry_space_group_name_H-M 'P 42/m n m'
_symmetry_Int_Tables_number 136
_symmetry_space_group_name_Hall '-P 4n 2n'
_cell_length_a 10.470
_cell_length_b 10.470
_cell_length_c 5.165
_cell_angle_alpha 90.00
_cell_angle_beta 90.00
_cell_angle_gamma 90.00
loop_
_atom_site_label
_atom_site_type_symbol
_atom_site_fract_x
_atom_site_fract_y
_atom_site_fract_z
Ba1 Ba 0.000 0.000 0.000
Na1 Na 0.195 0.195 0.500
Tl1 Tl 0.019 0.344 0.000
Tl2 Tl 0.164 0.836 0.500
```

Main lines, sorted by position (10 to 90 degrees two-theta):
2θ 20.97, rel. 16, (1 1 1)
2θ 30.92, rel. 100, (3 0 1)
2θ 34.73, rel. 20, (0 0 2)
2θ 36.41, rel. 31, (3 3 0)
2θ 51.20, rel. 23, (3 3 2)
2θ 52.46, rel. 13, (6 0 0)
2θ 59.90, rel. 16, (3 0 3)
2θ 62.13, rel. 22, (6 3 1)



Starting from a crystal structure in Alexandria, relaxed with GGA-PBE, the X-ray diffraction stick pattern of Ba2Na2Tl3 was computed for Cu Kα (weighted mean of Kα1 and Kα2).
Lines closer than 0.1° are merged.

Structure:
```
data_Ba2Na2Tl3
_symmetry_space_group_name_H-M 'C m m m'
_symmetry_Int_Tables_number 65
_symmetry_space_group_name_Hall '-C 2 2'
_cell_length_a 4.253
_cell_length_b 29.372
_cell_length_c 4.114
_cell_angle_alpha 90.00
_cell_angle_beta 90.00
_cell_angle_gamma 90.00
loop_
_atom_site_label
_atom_site_type_symbol
_atom_site_fract_x
_atom_site_fract_y
_atom_site_fract_z
Ba1 Ba 0.000 0.074 0.000
Na1 Na 0.000 0.205 0.000
Tl1 Tl 0.000 0.349 0.500
Tl2 Tl 0.000 0.500 0.500
```

Main lines, sorted by position (10 to 90 degrees two-theta):
2θ 25.86, rel. 18, (1 5 0)
2θ 28.34, rel. 75, (0 6 1)
2θ 29.91, rel. 86, (1 7 0)
2θ 30.38, rel. 100, (1 1 1)
2θ 32.69, rel. 28, (0 8 1)
2θ 50.86, rel. 34, (1 13 1)
2θ 51.88, rel. 28, (2 6 1)
2θ 54.13, rel. 33, (1 7 2)



Starting from a crystal structure in Alexandria, relaxed with GGA-PBE, the X-ray diffraction stick pattern of BaNa3Tl4 was computed for Cu Kα (weighted mean of Kα1 and Kα2).
Lines closer than 0.1° are merged.

Structure:
```
data_BaNa3Tl4
_symmetry_space_group_name_H-M 'P m m a'
_symmetry_Int_Tables_number 51
_cell_length_a 10.983
_cell_length_b 8.258
_cell_length_c 5.507
_cell_angle_alpha 90.00
_cell_angle_beta 90.00
_cell_angle_gamma 90.00
loop_
_symmetry_equiv_pos_as_xyz
'x,y,z'
'-x,-y,-z'
'-x+1/2,-y,z'
'x+1/2,y,-z'
'x+1/2,-y,-z'
'-x+1/2,y,z'
'-x,y,-z'
'x,-y,z'
loop_
_atom_site_label
_atom_site_type_symbol
_atom_site_fract_x
_atom_site_fract_y
_atom_site_fract_z
Ba1 Ba 0.000 0.000 0.000
Na1 Na 0.000 0.500 0.000
Na2 Na 0.250 0.000 0.490
Na3 Na 0.250 0.500 0.466
Tl1 Tl 0.000 0.283 0.500
Tl2 Tl 0.250 0.283 0.964
```

Main lines, sorted by position (10 to 90 degrees two-theta):
2θ 21.52, rel. 20, (0 2 0)
2θ 22.87, rel. 44, (2 0 1)
2θ 31.61, rel. 100, (2 2 1)
2θ 32.56, rel. 61, (4 0 0)
2θ 39.37, rel. 17, (4 2 0)
2θ 46.71, rel. 31, (4 0 2)
2θ 57.44, rel. 16, (2 2 3)
2θ 57.56, rel. 18, (6 2 1)



Starting from a crystal structure in Alexandria, relaxed with GGA-PBE, the X-ray diffraction stick pattern of Ba5NaTl4 was computed for Cu Kα (weighted mean of Kα1 and Kα2).
Lines closer than 0.1° are merged.

Structure:
```
data_Ba5NaTl4
_symmetry_space_group_name_H-M 'P 4/m m m'
_symmetry_Int_Tables_number 123
_symmetry_space_group_name_Hall '-P 4 2'
_cell_length_a 4.324
_cell_length_b 4.324
_cell_length_c 22.265
_cell_angle_alpha 90.00
_cell_angle_beta 90.00
_cell_angle_gamma 90.00
loop_
_atom_site_label
_atom_site_type_symbol
_atom_site_fract_x
_atom_site_fract_y
_atom_site_fract_z
Ba1 Ba 0.000 0.000 0.000
Ba2 Ba 0.000 0.000 0.191
Ba3 Ba 0.000 0.000 0.377
Na1 Na 0.500 0.500 0.500
Tl1 Tl 0.500 0.500 0.098
Tl2 Tl 0.500 0.500 0.287
```

Main lines, sorted by position (10 to 90 degrees two-theta):
2θ 28.78, rel. 100, (1 0 5)
2θ 29.21, rel. 56, (1 1 0)
2θ 31.78, rel. 17, (1 0 6)
2θ 41.78, rel. 21, (2 0 0)
2θ 50.72, rel. 13, (1 1 10)
2θ 51.52, rel. 40, (2 1 5)
2θ 68.63, rel. 10, (3 1 0)
2θ 83.47, rel. 10, (3 2 5)